Pm8Ag2Os: calculated X-ray diffraction stick pattern (Cu Kα (λ = 1.5418 Å)), based on the PBE geometry in Alexandria.
Neutral-atom scattering factors, no anomalous dispersion.

Largest 12 diffraction maxima, low angle first, 2θ = 10–90°:
d [Å]  2θ (°)  I/Imax
3.108  28.72  461
2.929  30.52  724
2.916  30.66  619
2.874  31.12  485
2.846  31.44  434
2.702  33.15  776
2.655  33.76  1000
2.515  35.70  462
2.385  37.72  190
2.296  39.23  237
1.580  58.43  217
1.403  66.65  229

```
Pm8Ag2Os
1.0
8.9367 -2.6550 0.0000
8.9367 2.6550 0.0000
-2.0699 0.0000 6.7468
Pm Ag Os
8 2 1
direct
0.0254 0.0254 0.2939
0.2007 0.2007 0.8102
0.3412 0.3412 0.5267
0.4111 0.4111 0.0666
0.5889 0.5889 0.9334
0.6588 0.6588 0.4733
0.7993 0.7993 0.1898
0.9746 0.9746 0.7061
0.1823 0.1823 0.2167
0.8177 0.8177 0.7833
0.5000 0.5000 0.5000
```

---

Pr12Ag6Os: calculated X-ray diffraction stick pattern (Cu Kα (λ = 1.5418 Å)), based on the PBE geometry in Alexandria.
Neutral-atom scattering factors, no anomalous dispersion.

Largest 12 diffraction maxima, low angle first, 2θ = 10–90°:
d [Å]  2θ (°)  I/Imax
5.757  15.39  179
3.840  23.16  123
3.263  27.33  366
2.871  31.15  1000
2.698  33.20  495
2.604  34.45  338
2.540  35.33  623
2.263  39.84  198
1.919  47.37  108
1.883  48.35  128
1.694  54.14  137
1.589  58.05  139

```
Pr12Ag6Os
1.0
6.1093 3.5272 4.5742
-6.1093 3.5272 4.5742
0.0000 -7.0544 4.5742
Pr Ag Os
12 6 1
direct
0.0413 0.6945 0.9365
0.0635 0.9587 0.3055
0.1795 0.5306 0.4084
0.3055 0.0635 0.9587
0.4084 0.1795 0.5306
0.4694 0.5916 0.8205
0.5306 0.4084 0.1795
0.5916 0.8205 0.4694
0.6945 0.9365 0.0413
0.8205 0.4694 0.5916
0.9365 0.0413 0.6945
0.9587 0.3055 0.0635
0.1627 0.3585 0.7608
0.2392 0.8373 0.6415
0.3585 0.7608 0.1627
0.6415 0.2391 0.8373
0.7608 0.1627 0.3585
0.8373 0.6415 0.2392
0.5000 0.5000 0.5000
```

---

ScAgOs2: calculated X-ray diffraction stick pattern (Cu Kα (λ = 1.5418 Å)), based on the PBE geometry in Alexandria.
Neutral-atom scattering factors, no anomalous dispersion.

Largest 12 diffraction maxima, low angle first, 2θ = 10–90°:
d [Å]  2θ (°)  I/Imax
5.824  15.21  725
2.339  38.49  905
2.319  38.84  1000
2.154  41.94  250
2.045  44.28  607
1.963  46.26  303
1.437  64.90  109
1.416  65.96  366
1.233  77.39  153
1.224  78.06  226
1.191  80.69  118
1.159  83.36  110

```
ScAgOs2
1.0
2.8736 0.0000 0.0000
0.0000 3.9251 0.0000
0.0000 0.0000 5.8244
Sc Ag Os
1 1 2
direct
0.0000 0.0000 0.0000
0.5000 0.5000 0.2598
0.0000 0.0000 0.5462
0.5000 0.5000 0.7304
```

---

ScAg2Os4: calculated X-ray diffraction stick pattern (Cu Kα (λ = 1.5418 Å)), based on the PBE geometry in Alexandria.
Neutral-atom scattering factors, no anomalous dispersion.

Largest 12 diffraction maxima, low angle first, 2θ = 10–90°:
d [Å]  2θ (°)  I/Imax
6.625  13.36  194
3.262  27.34  158
2.927  30.55  1000
2.324  38.74  570
2.307  39.05  849
2.298  39.21  509
1.631  56.41  289
1.628  56.53  344
1.595  57.80  231
1.425  65.52  237
1.335  70.54  195
1.153  83.95  205

```
ScAg2Os4
1.0
4.6133 0.0000 0.0000
0.0000 4.6133 0.0000
0.0000 0.0000 13.2500
Sc Ag Os
2 4 8
direct
0.0000 0.0000 0.0000
0.5000 0.5000 0.5000
0.0000 0.0000 0.3813
0.0000 0.0000 0.6187
0.5000 0.5000 0.1187
0.5000 0.5000 0.8813
0.0000 0.0000 0.1842
0.0000 0.0000 0.8158
0.0000 0.5000 0.0000
0.0000 0.5000 0.5000
0.5000 0.0000 0.0000
0.5000 0.0000 0.5000
0.5000 0.5000 0.3158
0.5000 0.5000 0.6842
```

---

ScAgOs: calculated X-ray diffraction stick pattern (Cu Kα (λ = 1.5418 Å)), based on the PBE geometry in Alexandria.
Neutral-atom scattering factors, no anomalous dispersion.

Largest 12 diffraction maxima, low angle first, 2θ = 10–90°:
d [Å]  2θ (°)  I/Imax
6.835  12.95  417
3.417  26.08  120
2.626  34.14  196
2.346  38.37  267
2.308  39.03  1000
2.278  39.56  229
1.634  56.29  160
1.629  56.49  85
1.347  69.83  174
1.338  70.36  87
1.321  71.41  143
1.154  83.85  102

```
ScAgOs
1.0
3.2580 0.0000 0.0000
0.0000 4.6920 0.0000
0.0000 0.0000 13.6692
Sc Ag Os
4 4 4
direct
0.0000 0.0000 0.0000
0.0000 0.5000 0.5000
0.5000 0.0000 0.5000
0.5000 0.5000 0.0000
0.0000 0.0000 0.3204
0.0000 0.5000 0.8204
0.5000 0.0000 0.8204
0.5000 0.5000 0.3204
0.0000 0.0000 0.6459
0.0000 0.5000 0.1459
0.5000 0.0000 0.1459
0.5000 0.5000 0.6459
```

---

AgOs2Se: calculated X-ray diffraction stick pattern (Cu Kα (λ = 1.5418 Å)), based on the PBE geometry in Alexandria.
Neutral-atom scattering factors, no anomalous dispersion.

Largest 12 diffraction maxima, low angle first, 2θ = 10–90°:
d [Å]  2θ (°)  I/Imax
8.531  10.37  1000
2.536  35.39  356
2.374  37.89  684
2.180  41.42  342
2.133  42.38  159
2.016  44.97  150
1.998  45.38  497
1.897  47.95  105
1.848  49.31  104
1.380  67.93  127
1.217  78.63  163
1.195  80.34  100

```
AgOs2Se
1.0
2.8339 0.0000 0.0000
0.0000 2.8579 0.0000
-1.4091 0.0000 8.5310
Ag Os Se
1 2 1
direct
0.0000 0.0000 0.0000
0.2183 0.0000 0.4408
0.6243 0.5000 0.2512
0.3450 0.5000 0.6976
```

---

Si2AgOs: calculated X-ray diffraction stick pattern (Cu Kα (λ = 1.5418 Å)), based on the PBE geometry in Alexandria.
Neutral-atom scattering factors, no anomalous dispersion.

Largest 12 diffraction maxima, low angle first, 2θ = 10–90°:
d [Å]  2θ (°)  I/Imax
7.306  12.11  290
3.653  24.37  455
2.926  30.55  482
2.284  39.46  1000
2.069  43.75  392
1.826  49.93  109
1.800  50.71  256
1.549  59.68  187
1.463  63.60  136
1.369  68.53  166
1.358  69.17  100
1.232  77.48  274

```
Si2AgOs
1.0
2.9261 0.0000 0.0000
0.0000 2.9261 0.0000
0.0000 0.0000 7.3055
Si Ag Os
2 1 1
direct
0.0000 0.0000 0.2038
0.0000 0.0000 0.7962
0.5000 0.5000 0.5000
0.5000 0.5000 0.0000
```

---

SrAgOs: calculated X-ray diffraction stick pattern (Cu Kα (λ = 1.5418 Å)), based on the PBE geometry in Alexandria.
Neutral-atom scattering factors, no anomalous dispersion.

Largest 12 diffraction maxima, low angle first, 2θ = 10–90°:
d [Å]  2θ (°)  I/Imax
5.193  17.08  605
2.730  32.81  1000
2.596  34.55  160
2.376  37.87  939
2.220  40.64  385
2.183  41.36  528
2.161  41.81  258
1.881  48.38  140
1.753  52.18  198
1.556  59.38  361
1.407  66.46  225
1.250  76.14  174

```
SrAgOs
1.0
2.8127 0.0000 0.0000
0.0000 4.4397 0.0000
0.0000 0.0000 10.3852
Sr Ag Os
2 2 2
direct
0.0000 0.0000 0.0000
0.5000 0.5000 0.5000
0.0000 0.0000 0.7074
0.5000 0.5000 0.2074
0.0000 0.0000 0.3042
0.5000 0.5000 0.8042
```

---

Ta2AgOs: calculated X-ray diffraction stick pattern (Cu Kα (λ = 1.5418 Å)), based on the PBE geometry in Alexandria.
Neutral-atom scattering factors, no anomalous dispersion.

Largest 12 diffraction maxima, low angle first, 2θ = 10–90°:
d [Å]  2θ (°)  I/Imax
2.384  37.73  1000
2.303  39.12  905
2.086  43.38  677
1.927  47.17  266
1.518  61.06  123
1.436  64.95  102
1.415  66.01  389
1.267  74.95  270
1.230  77.62  246
1.192  80.58  112
1.183  81.34  109
1.172  82.22  107

```
Ta2AgOs
1.0
5.7434 0.0000 0.0000
0.0000 7.7066 0.0000
0.0000 0.0000 3.0352
Ta Ag Os
4 2 2
direct
0.2500 0.2500 0.0000
0.2500 0.7500 0.0000
0.7500 0.2500 0.0000
0.7500 0.7500 0.0000
0.0000 0.0000 0.5000
0.5000 0.5000 0.5000
0.0000 0.5000 0.5000
0.5000 0.0000 0.5000
```

---

Tb6Ag5Os: calculated X-ray diffraction stick pattern (Cu Kα (λ = 1.5418 Å)), based on the PBE geometry in Alexandria.
Neutral-atom scattering factors, no anomalous dispersion.

Largest 12 diffraction maxima, low angle first, 2θ = 10–90°:
d [Å]  2θ (°)  I/Imax
2.555  35.12  1000
2.548  35.23  206
2.008  45.14  20
1.812  50.37  70
1.803  50.62  136
1.477  62.93  137
1.473  63.10  270
1.278  74.20  81
1.274  74.49  23
1.145  84.63  57
1.141  85.00  82
1.140  85.12  31

```
Tb6Ag5Os
1.0
2.5477 -7.6584 0.0000
2.5477 7.6584 0.0000
0.0000 0.0000 7.2461
Tb Ag Os
6 5 1
direct
0.0000 0.0000 0.2317
0.0000 0.0000 0.7683
0.3426 0.6574 0.2413
0.3426 0.6574 0.7587
0.6574 0.3426 0.2413
0.6574 0.3426 0.7587
0.1666 0.8334 0.5000
0.1759 0.8241 0.0000
0.5000 0.5000 0.5000
0.8241 0.1759 0.0000
0.8334 0.1666 0.5000
0.5000 0.5000 0.0000
```

---

Tb5Ag2Os: calculated X-ray diffraction stick pattern (Cu Kα (λ = 1.5418 Å)), based on the PBE geometry in Alexandria.
Neutral-atom scattering factors, no anomalous dispersion.

Largest 12 diffraction maxima, low angle first, 2θ = 10–90°:
d [Å]  2θ (°)  I/Imax
3.128  28.54  198
2.752  32.53  1000
2.666  33.62  427
2.640  33.96  187
2.550  35.20  176
2.280  39.52  436
2.130  42.44  101
1.977  45.89  112
1.660  55.33  182
1.562  59.14  127
1.545  59.87  142
1.495  62.10  116

```
Tb5Ag2Os
1.0
-3.6056 3.6056 7.9199
3.6056 -3.6056 7.9199
3.6056 3.6056 -7.9199
Tb Ag Os
10 4 2
direct
0.0000 0.0000 0.0000
0.0183 0.5183 0.8514
0.1668 0.0183 0.5000
0.3332 0.8332 0.8514
0.4817 0.3332 0.5000
0.5000 0.5000 0.0000
0.5183 0.6668 0.5000
0.6668 0.1668 0.1486
0.8332 0.9817 0.5000
0.9817 0.4817 0.1486
0.1294 0.3706 0.5000
0.3706 0.8706 0.2411
0.6294 0.1294 0.7589
0.8706 0.6294 0.5000
0.2500 0.2500 0.0000
0.7500 0.7500 0.0000
```

---

AgTeOs: calculated X-ray diffraction stick pattern (Cu Kα (λ = 1.5418 Å)), based on the PBE geometry in Alexandria.
Neutral-atom scattering factors, no anomalous dispersion.

Largest 12 diffraction maxima, low angle first, 2θ = 10–90°:
d [Å]  2θ (°)  I/Imax
6.237  14.20  529
2.824  31.69  541
2.239  40.27  561
2.222  40.60  1000
2.108  42.91  140
2.079  43.53  78
1.584  58.27  188
1.524  60.79  115
1.381  67.86  122
1.290  73.43  343
1.280  74.09  126
1.111  87.87  84

```
AgTeOs
1.0
3.1671 0.0000 0.0000
0.0000 3.1671 0.0000
0.0000 0.0000 6.2370
Ag Te Os
1 1 1
direct
0.0000 0.0000 0.0000
0.0000 0.0000 0.5386
0.5000 0.5000 0.3090
```

---

AgTeOs: calculated X-ray diffraction stick pattern (Cu Kα (λ = 1.5418 Å)), based on the PBE geometry in Alexandria.
Neutral-atom scattering factors, no anomalous dispersion.

Largest 12 diffraction maxima, low angle first, 2θ = 10–90°:
d [Å]  2θ (°)  I/Imax
5.431  16.32  560
3.198  27.89  474
2.715  32.99  155
2.412  37.28  176
2.333  38.59  598
2.239  40.28  1000
2.136  42.32  270
2.060  43.96  174
1.979  45.86  266
1.452  64.16  155
1.284  73.78  116
1.187  81.04  130

```
AgTeOs
1.0
3.9577 0.0000 0.0000
0.0000 9.6481 0.0000
0.0000 0.0000 6.5705
Ag Te Os
4 4 4
direct
0.2500 0.1092 0.0000
0.2500 0.6092 0.5000
0.7500 0.3908 0.5000
0.7500 0.8908 0.0000
0.2500 0.1689 0.4112
0.2500 0.6689 0.9112
0.7500 0.3311 0.9112
0.7500 0.8311 0.4112
0.2500 0.4158 0.1791
0.2500 0.9158 0.6791
0.7500 0.0842 0.6791
0.7500 0.5842 0.1791
```

---

Tm5Ag2Os: calculated X-ray diffraction stick pattern (Cu Kα (λ = 1.5418 Å)), based on the PBE geometry in Alexandria.
Neutral-atom scattering factors, no anomalous dispersion.

Largest 12 diffraction maxima, low angle first, 2θ = 10–90°:
d [Å]  2θ (°)  I/Imax
3.068  29.11  200
2.705  33.12  1000
2.618  34.26  421
2.585  34.71  190
2.509  35.79  177
2.244  40.18  429
1.941  46.80  102
1.633  56.34  193
1.535  60.28  126
1.514  61.21  140
1.467  63.38  111
1.217  78.58  114

```
Tm5Ag2Os
1.0
-3.5483 3.5483 7.7540
3.5483 -3.5483 7.7540
3.5483 3.5483 -7.7540
Tm Ag Os
10 4 2
direct
0.0000 0.0000 0.0000
0.0187 0.5187 0.8522
0.1665 0.0187 0.5000
0.3335 0.8335 0.8522
0.4813 0.3335 0.5000
0.5000 0.5000 0.0000
0.5187 0.6665 0.5000
0.6665 0.1665 0.1478
0.8335 0.9813 0.5000
0.9813 0.4813 0.1478
0.1310 0.3690 0.5000
0.3690 0.8690 0.2380
0.6310 0.1310 0.7620
0.8690 0.6310 0.5000
0.2500 0.2500 0.0000
0.7500 0.7500 0.0000
```